Entry 1:
# SrEuCoO4
Theoretical XRD peak list, Cu Kα X-rays. Input: a cell relaxed with PBE+U.
Intensities are scaled so that the largest is 100.

Main lines, in order of falling intensity (2θ from 10° to 80°):
- d 2.796, 2θ = 32.0°, I = 100
- d 2.695, 2θ = 33.2°, I = 68
- d 1.575, 2θ = 58.6°, I = 36
- d 1.906, 2θ = 47.7°, I = 35
- d 2.030, 2θ = 44.6°, I = 28
- d 3.642, 2θ = 24.4°, I = 23
- d 1.635, 2θ = 56.3°, I = 16
- d 2.072, 2θ = 43.7°, I = 14
- d 6.171, 2θ = 14.4°, I = 14
- d 1.398, 2θ = 66.9°, I = 13

Crystal structure
```
SrEuCoO4
1.0
-1.906 1.906 6.171
1.906 -1.906 6.171
1.906 1.906 -6.171
Sr Eu Co O
1 1 1 4
Direct
0.000 0.000 0.000 Sr
0.715 0.715 0.000 Eu
0.359 0.359 0.000 Co
0.197 0.197 0.000 O
0.350 0.850 0.500 O
0.524 0.524 0.000 O
0.850 0.350 0.500 O
```

Entry 2:
# Li2AlNi3O6
Theoretical XRD peak list, Cu Kα X-rays. Input: a cell relaxed with PBE+U.
Intensities are scaled so that the largest is 100.

Main lines, in order of falling intensity (2θ from 10° to 80°):
- d 2.043, 2θ = 44.3°, I = 100
- d 2.110, 2θ = 42.9°, I = 56
- d 4.794, 2θ = 18.5°, I = 46
- d 3.791, 2θ = 23.5°, I = 37
- d 1.466, 2θ = 63.5°, I = 29
- d 1.470, 2θ = 63.3°, I = 29
- d 2.376, 2θ = 37.9°, I = 29
- d 4.312, 2θ = 20.6°, I = 27
- d 4.179, 2θ = 21.3°, I = 20
- d 2.753, 2θ = 32.5°, I = 17

Crystal structure
```
Li2AlNi3O6
1.0
2.557 -4.312 0.000
2.557 4.312 0.000
-1.449 0.000 9.588
Li Al Ni O
4 2 6 12
Direct
0.075 0.424 0.751 Li
0.246 0.246 0.249 Li
0.576 0.925 0.249 Li
0.754 0.754 0.751 Li
0.325 0.675 0.500 Al
0.832 0.168 0.000 Al
0.159 0.841 0.000 Ni
0.403 0.089 0.751 Ni
0.493 0.507 0.000 Ni
0.659 0.341 0.500 Ni
0.911 0.597 0.249 Ni
0.994 0.006 0.500 Ni
0.060 0.716 0.622 O
0.108 0.138 0.880 O
0.180 0.518 0.111 O
0.284 0.940 0.378 O
0.380 0.392 0.611 O
0.482 0.820 0.889 O
0.558 0.233 0.114 O
0.608 0.620 0.389 O
0.670 0.038 0.609 O
0.767 0.442 0.886 O
0.862 0.892 0.120 O
0.962 0.330 0.391 O
```

Entry 3:
# Mo2N3O4F5
Theoretical XRD peak list, Cu Kα X-rays. Input: a cell relaxed with PBE+U.
Intensities are scaled so that the largest is 100.

Main lines, in order of falling intensity (2θ from 10° to 80°):
- d 5.987, 2θ = 14.8°, I = 100
- d 4.148, 2θ = 21.4°, I = 34
- d 3.119, 2θ = 28.6°, I = 34
- d 4.559, 2θ = 19.5°, I = 26
- d 5.420, 2θ = 16.4°, I = 26
- d 2.398, 2θ = 37.5°, I = 15
- d 3.248, 2θ = 27.5°, I = 14
- d 4.436, 2θ = 20.0°, I = 13
- d 8.296, 2θ = 10.7°, I = 13
- d 5.114, 2θ = 17.3°, I = 12

Crystal structure
```
Mo2N3O4F5
1.0
9.838 0.000 0.000
0.000 15.434 0.000
0.000 0.000 6.495
Mo N O F
8 12 16 20
Direct
0.052 0.170 0.000 Mo
0.233 0.527 0.500 Mo
0.267 0.027 0.000 Mo
0.448 0.670 0.500 Mo
0.552 0.330 0.500 Mo
0.733 0.973 0.000 Mo
0.767 0.473 0.500 Mo
0.948 0.830 0.000 Mo
0.063 0.605 0.000 N
0.113 0.918 0.500 N
0.163 0.283 0.500 N
0.337 0.783 0.000 N
0.387 0.418 0.000 N
0.437 0.105 0.500 N
0.563 0.895 0.500 N
0.613 0.582 0.000 N
0.663 0.217 0.000 N
0.837 0.717 0.500 N
0.887 0.082 0.500 N
0.937 0.395 0.000 N
0.106 0.602 0.500 O
0.144 0.089 0.191 O
0.144 0.089 0.809 O
0.176 0.248 0.000 O
0.324 0.748 0.500 O
0.356 0.589 0.309 O
0.356 0.589 0.691 O
0.394 0.102 0.000 O
0.606 0.898 0.000 O
0.644 0.411 0.309 O
0.644 0.411 0.691 O
0.676 0.252 0.500 O
0.824 0.752 0.000 O
0.856 0.911 0.191 O
0.856 0.911 0.809 O
0.894 0.398 0.500 O
0.056 0.786 0.217 F
0.056 0.786 0.783 F
0.105 0.930 0.000 F
0.168 0.457 0.281 F
0.168 0.457 0.719 F
0.332 0.957 0.219 F
0.332 0.957 0.781 F
0.395 0.430 0.500 F
0.444 0.286 0.283 F
0.444 0.286 0.717 F
0.556 0.714 0.283 F
0.556 0.714 0.717 F
0.605 0.570 0.500 F
0.668 0.043 0.219 F
0.668 0.043 0.781 F
0.832 0.543 0.281 F
0.832 0.543 0.719 F
0.895 0.070 0.000 F
0.944 0.214 0.217 F
0.944 0.214 0.783 F
```

Entry 4:
# KCaGdFeO6
Theoretical XRD peak list, Cu Kα X-rays. Input: a cell relaxed with PBE+U.
Intensities are scaled so that the largest is 100.

Main lines, in order of falling intensity (2θ from 10° to 80°):
- d 2.895, 2θ = 30.9°, I = 100
- d 4.094, 2θ = 21.7°, I = 47
- d 2.047, 2θ = 44.3°, I = 38
- d 1.671, 2θ = 54.9°, I = 37
- d 1.447, 2θ = 64.4°, I = 22
- d 4.727, 2θ = 18.8°, I = 20
- d 1.831, 2θ = 49.8°, I = 19
- d 2.468, 2θ = 36.4°, I = 18
- d 1.294, 2θ = 73.1°, I = 17
- d 1.878, 2θ = 48.5°, I = 11

Crystal structure
```
KCaGdFeO6
1.0
0.000 4.094 4.094
4.094 0.000 4.094
4.094 4.094 0.000
K Ca Gd Fe O
1 1 1 1 6
Direct
0.000 0.000 0.000 K
0.500 0.500 0.500 Ca
0.250 0.250 0.250 Gd
0.750 0.750 0.750 Fe
0.520 0.520 0.980 O
0.520 0.980 0.520 O
0.520 0.980 0.980 O
0.980 0.520 0.520 O
0.980 0.520 0.980 O
0.980 0.980 0.520 O
```

Entry 5:
# Mn6O5F7
Theoretical XRD peak list, Cu Kα X-rays. Input: a cell relaxed with PBE+U.
Intensities are scaled so that the largest is 100.

Main lines, in order of falling intensity (2θ from 10° to 80°):
- d 3.501, 2θ = 25.4°, I = 100
- d 3.234, 2θ = 27.6°, I = 84
- d 2.628, 2θ = 34.1°, I = 47
- d 2.617, 2θ = 34.3°, I = 47
- d 1.802, 2θ = 50.7°, I = 32
- d 1.798, 2θ = 50.8°, I = 32
- d 1.412, 2θ = 66.2°, I = 26
- d 1.719, 2θ = 53.3°, I = 25
- d 1.417, 2θ = 65.9°, I = 24
- d 1.728, 2θ = 53.0°, I = 23

Crystal structure
```
Mn6O5F7
1.0
4.525 -3.501 0.000
4.525 3.501 0.000
-2.451 0.000 6.743
Mn O F
6 5 7
Direct
0.000 0.000 0.000 Mn
0.308 0.357 0.345 Mn
0.319 0.383 0.830 Mn
0.617 0.681 0.170 Mn
0.643 0.692 0.655 Mn
0.980 0.020 0.500 Mn
0.092 0.120 0.301 O
0.293 0.707 0.000 O
0.417 0.470 0.632 O
0.530 0.583 0.368 O
0.880 0.908 0.699 O
0.228 0.267 0.039 F
0.338 0.021 0.681 F
0.621 0.051 0.331 F
0.698 0.302 0.000 F
0.733 0.772 0.961 F
0.949 0.379 0.669 F
0.979 0.662 0.319 F
```

Entry 6:
# CaFeGe2O6
Theoretical XRD peak list, Cu Kα X-rays. Input: a cell relaxed with PBE+U.
Intensities are scaled so that the largest is 100.

Main lines, in order of falling intensity (2θ from 10° to 80°):
- d 2.668, 2θ = 33.6°, I = 100
- d 3.102, 2θ = 28.8°, I = 85
- d 3.131, 2θ = 28.5°, I = 37
- d 2.653, 2θ = 33.8°, I = 26
- d 1.697, 2θ = 54.0°, I = 23
- d 3.487, 2θ = 25.5°, I = 19
- d 3.023, 2θ = 29.5°, I = 15
- d 4.594, 2θ = 19.3°, I = 13
- d 1.573, 2θ = 58.7°, I = 12
- d 2.100, 2θ = 43.1°, I = 10

Crystal structure
```
CaFeGe2O6
1.0
6.900 0.000 0.000
-0.230 8.011 0.000
-1.786 -2.229 9.166
Ca Fe Ge O
4 4 8 24
Direct
0.196 0.277 0.473 Ca
0.197 0.777 0.974 Ca
0.803 0.223 0.026 Ca
0.804 0.723 0.527 Ca
0.410 0.920 0.330 Fe
0.411 0.420 0.830 Fe
0.589 0.580 0.170 Fe
0.590 0.080 0.670 Fe
0.116 0.042 0.731 Ge
0.116 0.542 0.231 Ge
0.312 0.194 0.078 Ge
0.312 0.694 0.579 Ge
0.688 0.306 0.421 Ge
0.688 0.806 0.922 Ge
0.884 0.458 0.769 Ge
0.884 0.958 0.269 Ge
0.108 0.100 0.924 O
0.110 0.599 0.424 O
0.124 0.480 0.868 O
0.125 0.979 0.368 O
0.174 0.816 0.707 O
0.177 0.316 0.207 O
0.294 0.672 0.188 O
0.297 0.169 0.688 O
0.387 0.514 0.640 O
0.389 0.014 0.137 O
0.482 0.327 0.030 O
0.484 0.827 0.533 O
0.516 0.173 0.467 O
0.518 0.673 0.970 O
0.611 0.986 0.863 O
0.613 0.486 0.360 O
0.703 0.831 0.312 O
0.706 0.328 0.812 O
0.823 0.684 0.793 O
0.826 0.184 0.293 O
0.875 0.021 0.632 O
0.876 0.520 0.132 O
0.890 0.401 0.576 O
0.892 0.900 0.076 O
```

Entry 7:
# Li3Fe2Si2O8
Theoretical XRD peak list, Cu Kα X-rays. Input: a cell relaxed with PBE+U.
Intensities are scaled so that the largest is 100.

Main lines, in order of falling intensity (2θ from 10° to 80°):
- d 4.098, 2θ = 21.7°, I = 100
- d 4.064, 2θ = 21.9°, I = 92
- d 2.643, 2θ = 33.9°, I = 81
- d 2.733, 2θ = 32.8°, I = 42
- d 2.754, 2θ = 32.5°, I = 32
- d 1.539, 2θ = 60.1°, I = 24
- d 1.550, 2θ = 59.6°, I = 23
- d 3.663, 2θ = 24.3°, I = 22
- d 3.264, 2θ = 27.3°, I = 16
- d 3.182, 2θ = 28.0°, I = 15

Crystal structure
```
Li3Fe2Si2O8
1.0
3.818 -3.663 0.000
3.818 3.663 0.000
-0.081 0.000 6.420
Li Fe Si O
3 2 2 8
Direct
0.000 0.000 0.000 Li
0.131 0.488 0.748 Li
0.512 0.869 0.252 Li
0.144 0.495 0.259 Fe
0.505 0.856 0.741 Fe
0.637 0.363 0.000 Si
0.994 0.006 0.500 Si
0.050 0.308 0.497 O
0.118 0.875 0.286 O
0.125 0.882 0.714 O
0.506 0.493 0.206 O
0.507 0.494 0.794 O
0.608 0.050 0.992 O
0.692 0.950 0.503 O
0.950 0.392 0.008 O
```